# 1
ScZn2Cu5: simulated powder XRD pattern (Cu Kα X-rays), based on a cell relaxed with PBE.
Intensities are scaled so that the largest is 100.

Atomic structure:
Cell: 4.2476 4.2476 5.9902 Å, 90.00 90.00 90.00°
Space group P4/mmm (No. 123)
Unique sites:
Sc 0.0000 0.0000 0.0000
Zn 0.0000 0.0000 0.5000
Zn 0.5000 0.5000 0.0000
Cu 0.0000 0.5000 0.2698
Cu 0.5000 0.5000 0.5000

Main lines, in order of rising 2θ (10 to 90 degrees two-theta):
two_theta, d [Å], intensity, (hkl)
14.8, 5.990, 2.7, 0 0 1
25.7, 3.465, 0.7, 1 0 1
42.6, 2.122, 100.0, 2 0 0
45.3, 2.002, 0.7, 2 0 1
55.2, 1.663, 1.7, 1 1 3
61.8, 1.502, 10.4, 2 2 0
62.0, 1.498, 4.5, 0 0 4
78.0, 1.226, 19.4, 3 1 2
78.1, 1.224, 8.7, 2 0 4
87.5, 1.115, 0.8, 3 1 3

=====

# 2
Er2Sc2CBr5: simulated powder XRD pattern (Cu Kα X-rays), based on a cell relaxed with PBE.
Intensities are scaled so that the largest is 100.

Atomic structure:
Cell: 17.6741 3.6934 7.9973 Å, 90.00 102.86 90.00°
Space group C2/m (No. 12)
Unique sites:
Er 0.9998 0.0000 0.2017
Sc 0.1300 0.5000 0.0656
C 0.0000 0.5000 0.0000
Br 0.0000 0.5000 0.5000
Br 0.1646 0.0000 0.3224
Br 0.1671 0.0000 0.8414

Main lines, in order of rising 2θ (10 to 90 degrees two-theta):
two_theta, d [Å], intensity, (hkl)
10.3, 8.615, 81.5, 2 0 0
11.3, 7.797, 18.4, 0 0 1
22.8, 3.895, 32.4, 0 0 2
24.7, 3.611, 39.7, 1 1 0
31.1, 2.872, 56.6, 6 0 0
33.0, 2.713, 100.0, 1 1 -2
35.6, 2.520, 35.4, 5 1 0
46.0, 1.975, 32.0, 5 1 2
46.1, 1.970, 32.1, 7 1 -2
49.3, 1.847, 18.2, 0 2 0

=====

# 3
Na2ZnSn2S6: simulated powder XRD pattern (Cu Kα X-rays), based on a cell relaxed with PBE.
Intensities are scaled so that the largest is 100.

Atomic structure:
Cell: 13.0617 23.7856 7.3442 Å, 90.00 90.00 90.00°
Space group Fdd2 (No. 43)
Unique sites:
Na 0.0805 0.2973 0.0000
Zn 0.0000 0.0000 0.2618
Sn 0.1233 0.3887 0.4889
S 0.0369 0.0785 0.4459
S 0.0555 0.1362 0.9276
S 0.1037 0.2345 0.3281

Main lines, in order of rising 2θ (10 to 90 degrees two-theta):
two_theta, d [Å], intensity, (hkl)
14.3, 6.182, 100.0, 1 1 1
14.9, 5.946, 28.6, 0 4 0
23.3, 3.818, 22.9, 1 5 1
24.1, 3.700, 28.9, 3 1 1
26.3, 3.386, 34.7, 3 3 1
28.9, 3.091, 41.9, 2 2 2
29.8, 3.001, 34.5, 1 7 1
36.7, 2.446, 16.1, 5 1 1
41.3, 2.186, 16.6, 5 5 1
49.3, 1.850, 21.1, 6 2 2

=====

# 4
NdH6C3O9: simulated powder XRD pattern (Cu Kα X-rays), based on a cell relaxed with PBE.
Intensities are scaled so that the largest is 100.

Atomic structure:
Cell: 5.8757 7.3774 8.7036 Å, 97.33 99.68 96.08°
Space group P-1 (No. 2)
Unique sites:
Nd 0.0027 0.3183 0.2893
H 0.0431 0.3565 0.8820
H 0.2155 0.6917 0.2161
H 0.3655 0.7446 0.0185
H 0.3827 0.9599 0.2886
H 0.4074 0.0966 0.7956
H 0.4669 0.6422 0.8746
C 0.0855 0.0652 0.9679
C 0.1223 0.9802 0.4848
C 0.4453 0.5204 0.5731
O 0.0615 0.6198 0.2123
O 0.1361 0.2295 0.0382
O 0.1604 0.9998 0.8479
O 0.2086 0.8501 0.5436
O 0.2193 0.0834 0.4017
O 0.2264 0.4801 0.5558
O 0.3254 0.6551 0.9204
O 0.4202 0.4087 0.3007
O 0.4271 0.8658 0.2100

Main lines, in order of rising 2θ (10 to 90 degrees two-theta):
two_theta, d [Å], intensity, (hkl)
14.8, 5.968, 100.0, 0 1 -1
15.4, 5.743, 97.4, 1 0 0
17.2, 5.150, 31.7, 0 1 1
20.7, 4.295, 25.3, -1 1 1
21.2, 4.185, 25.6, 1 1 -1
21.7, 4.093, 28.9, 1 -1 1
25.2, 3.530, 25.9, 0 2 -1
25.9, 3.446, 25.4, 0 1 2
27.2, 3.273, 23.2, -1 1 2
35.0, 2.564, 27.1, 2 -1 1